# 1
Structure and simulated X-ray powder pattern of LaFeW2 (a DFT-relaxed cell (GGA-PBE, Alexandria); CuKα).

a b c (Å): 2.9225 2.9225 29.1447
angles (deg): 90.00 90.00 120.00
Fractional positions:
La  0.0000  0.0000  0.0000
La  0.3333  0.6667  0.6667
La  0.6667  0.3333  0.3333
Fe  0.0000  0.0000  0.5000
Fe  0.3333  0.6667  0.1667
Fe  0.6667  0.3333  0.8333
W  0.0000  0.0000  0.2349
W  0.0000  0.0000  0.7651
W  0.3333  0.6667  0.4317
W  0.3333  0.6667  0.9016
W  0.6667  0.3333  0.0984
W  0.6667  0.3333  0.5683

Main lines, in order of falling intensity (2θ = 15–90°):
37.6 deg, rel. 1000; 43.5 deg, rel. 493; 27.5 deg, rel. 325; 63.7 deg, rel. 235; 54.7 deg, rel. 215; 38.8 deg, rel. 192; 37.0 deg, rel. 149; 70.7 deg, rel. 141; 65.8 deg, rel. 137; 76.4 deg, rel. 126

=====

# 2
Structure and simulated X-ray powder pattern of La2YFe9 (a DFT-relaxed cell (GGA-PBE, Alexandria); CuKα).

a b c (Å): 8.8445 8.8445 8.8445
angles (deg): 33.91 33.91 33.91
Fractional positions:
La  0.1412  0.1412  0.1412
La  0.8588  0.8588  0.8588
Y  0.0000  0.0000  0.0000
Fe  0.0824  0.5769  0.5769
Fe  0.3329  0.3329  0.3329
Fe  0.4231  0.4231  0.9176
Fe  0.4231  0.9176  0.4231
Fe  0.5000  0.5000  0.5000
Fe  0.5769  0.0824  0.5769
Fe  0.5769  0.5769  0.0824
Fe  0.6671  0.6671  0.6671
Fe  0.9176  0.4231  0.4231

Main lines, in order of falling intensity (2θ = 15–90°):
41.2 deg, rel. 1000; 34.8 deg, rel. 494; 32.1 deg, rel. 446; 40.6 deg, rel. 374; 35.1 deg, rel. 337; 73.4 deg, rel. 224; 66.7 deg, rel. 221; 44.4 deg, rel. 196; 44.8 deg, rel. 185; 67.1 deg, rel. 154